Starting from a structure optimized by DFT (PBE), the powder diffraction line list of Li3Pu was computed for copper Kα.
Kinematic intensities with the Lorentz-polarization factor, no thermal factor.

abc: 5.076 5.076 5.076
angles: 60.00 60.00 60.00
Fractional coordinates of all 4 atoms:
Li 0.000 0.000 0.000
Li 0.250 0.250 0.250
Li 0.750 0.750 0.750
Pu 0.500 0.500 0.500

Principal peaks in the range 5 to 70 degrees two-theta, sorted by position:
d 4.144, 21.44 deg, I 100
d 3.589, 24.81 deg, I 53
d 2.538, 35.37 deg, I 52
d 2.164, 41.73 deg, I 56
d 2.072, 43.68 deg, I 16
d 1.795, 50.88 deg, I 9
d 1.647, 55.83 deg, I 24
d 1.605, 57.41 deg, I 22
d 1.465, 63.49 deg, I 20
d 1.381, 67.84 deg, I 18